# 1
Structure and theoretical XRD peak list of Ga2CuPd6 (a GGA-PBE-relaxed structure; Cu Kα, 1.54184 Å).
Peak positions follow from Bragg's law for the DFT cell and can differ from measured ones.

Top 10 peaks for 10° ≤ 2θ ≤ 90°, sorted by position:
Position (°2θ)	I_rel
40.18	100
40.60	11
41.80	18
43.72	24
48.19	24
61.19	7
67.09	17
77.92	14
79.04	11
84.41	9

a b c (Å): 8.0119 8.0119 4.1405
angles (deg): 90.00 90.00 90.00
Sites, in units of the cell vectors:
Ga  0.1956  0.1956  0.0000
Ga  0.3044  0.6956  0.5000
Ga  0.6956  0.3044  0.5000
Ga  0.8044  0.8044  0.0000
Cu  0.0000  0.0000  0.5000
Cu  0.5000  0.5000  0.0000
Pd  0.0229  0.3243  0.5000
Pd  0.1313  0.8687  0.0000
Pd  0.1757  0.5229  0.0000
Pd  0.3243  0.0229  0.5000
Pd  0.3687  0.3687  0.5000
Pd  0.4771  0.8243  0.0000
Pd  0.5229  0.1757  0.0000
Pd  0.6313  0.6313  0.5000
Pd  0.6757  0.9771  0.5000
Pd  0.8243  0.4771  0.0000
Pd  0.8687  0.1313  0.0000
Pd  0.9771  0.6757  0.5000

***

# 2
Structure and theoretical XRD peak list of DyNpMn (a GGA-PBE-relaxed structure; Cu Kα, 1.54184 Å).
Peak positions follow from Bragg's law for the DFT cell and can differ from measured ones.

Top 10 peaks for 10° ≤ 2θ ≤ 90°, sorted by position:
Position (°2θ)	I_rel
28.55	40
31.38	100
32.00	17
40.31	10
40.81	19
48.84	11
50.13	15
52.37	22
57.54	12
61.10	10

a b c (Å): 6.2537 6.2537 7.4596
angles (deg): 90.00 90.00 90.00
Sites, in units of the cell vectors:
Dy  0.2299  0.2299  0.0000
Dy  0.2701  0.7299  0.2500
Dy  0.7299  0.2701  0.7500
Dy  0.7701  0.7701  0.5000
Np  0.1983  0.1983  0.5000
Np  0.3017  0.6983  0.7500
Np  0.6983  0.3017  0.2500
Np  0.8017  0.8017  0.0000
Mn  0.0595  0.9405  0.7500
Mn  0.4405  0.4405  0.5000
Mn  0.5595  0.5595  0.0000
Mn  0.9405  0.0595  0.2500

***

# 3
Structure and theoretical XRD peak list of KCaV (a GGA-PBE-relaxed structure; Cu Kα, 1.54184 Å).
Peak positions follow from Bragg's law for the DFT cell and can differ from measured ones.

Top 10 peaks for 10° ≤ 2θ ≤ 90°, sorted by position:
Position (°2θ)	I_rel
15.02	23
15.81	24
24.86	86
27.24	100
28.99	36
29.89	68
31.01	21
31.43	81
31.60	81
44.31	25

a b c (Å): 3.4394 6.0283 10.6022
angles (deg): 79.13 89.79 85.13
Sites, in units of the cell vectors:
K  0.0000  0.0000  0.0000
K  0.3468  0.5777  0.7670
Ca  0.8018  0.1570  0.5329
Ca  0.9985  0.7078  0.3498
V  0.3388  0.2264  0.2724
V  0.5774  0.4431  0.1559

***

# 4
Structure and theoretical XRD peak list of PmAl2Zn9 (a GGA-PBE-relaxed structure; Cu Kα, 1.54184 Å).
Peak positions follow from Bragg's law for the DFT cell and can differ from measured ones.

Top 10 peaks for 10° ≤ 2θ ≤ 90°, sorted by position:
Position (°2θ)	I_rel
28.24	11
32.99	24
37.01	100
37.20	13
37.92	68
39.32	25
42.68	12
44.60	36
46.14	12
67.90	30

a b c (Å): 8.2874 8.2874 8.2874
angles (deg): 100.40 100.40 129.73
Sites, in units of the cell vectors:
Pm  0.3750  0.6250  0.7500
Pm  0.6250  0.3750  0.2500
Al  0.0000  0.0000  0.0000
Al  0.0000  0.0000  0.5000
Al  0.0000  0.5000  0.0000
Al  0.5000  0.0000  0.5000
Zn  0.1250  0.8750  0.2500
Zn  0.1289  0.5522  0.3345
Zn  0.1289  0.7944  0.5767
Zn  0.2056  0.2823  0.3345
Zn  0.2056  0.8711  0.9233
Zn  0.2823  0.2056  0.8345
Zn  0.2823  0.4478  0.0767
Zn  0.4478  0.2823  0.5767
Zn  0.4478  0.8711  0.1655
Zn  0.5522  0.1289  0.8345
Zn  0.5522  0.7177  0.4233
Zn  0.7177  0.5522  0.9233
Zn  0.7177  0.7944  0.1655
Zn  0.7944  0.1289  0.0767
Zn  0.7944  0.7177  0.6655
Zn  0.8711  0.2056  0.4233
Zn  0.8711  0.4478  0.6655
Zn  0.8750  0.1250  0.7500

***

# 5
Structure and theoretical XRD peak list of La4Ag3Hg (a GGA-PBE-relaxed structure; Cu Kα, 1.54184 Å).
Peak positions follow from Bragg's law for the DFT cell and can differ from measured ones.

Top 10 peaks for 10° ≤ 2θ ≤ 90°, sorted by position:
Position (°2θ)	I_rel
29.70	100
30.27	24
31.97	28
35.34	37
36.06	38
36.83	71
45.57	20
48.95	17
59.47	34
71.59	19

a b c (Å): 3.9812 4.9821 11.8096
angles (deg): 90.00 90.00 90.00
Sites, in units of the cell vectors:
La  0.0000  0.0000  0.0000
La  0.0000  0.5000  0.2796
La  0.5000  0.0000  0.4914
La  0.5000  0.5000  0.7847
Ag  0.0000  0.5000  0.5591
Ag  0.5000  0.0000  0.2146
Ag  0.5000  0.5000  0.0647
Hg  0.0000  0.0000  0.7175

***

# 6
Structure and theoretical XRD peak list of LiAg2F4 (a GGA-PBE-relaxed structure; Cu Kα, 1.54184 Å).
Peak positions follow from Bragg's law for the DFT cell and can differ from measured ones.

Top 10 peaks for 10° ≤ 2θ ≤ 90°, sorted by position:
Position (°2θ)	I_rel
15.48	10
21.96	17
28.55	100
28.82	10
35.05	14
36.53	9
45.99	14
48.64	21
50.90	24
54.13	9

a b c (Å): 8.0962 8.0962 6.1955
angles (deg): 90.00 90.00 90.13
Sites, in units of the cell vectors:
Li  0.2500  0.2500  0.0260
Li  0.2500  0.2500  0.5260
Li  0.7500  0.7500  0.4740
Li  0.7500  0.7500  0.9740
Ag  0.0878  0.5878  0.2500
Ag  0.0907  0.9093  0.7500
Ag  0.4093  0.5907  0.7500
Ag  0.4122  0.9122  0.2500
Ag  0.5878  0.0878  0.7500
Ag  0.5907  0.4093  0.2500
Ag  0.9093  0.0907  0.2500
Ag  0.9122  0.4122  0.7500
F  0.0154  0.1996  0.5452
F  0.0167  0.3001  0.0490
F  0.1996  0.0154  0.0452
F  0.1999  0.4833  0.5490
F  0.3001  0.0167  0.5490
F  0.3004  0.4846  0.0452
F  0.4833  0.1999  0.0490
F  0.4846  0.3004  0.5452
F  0.5154  0.6996  0.4548
F  0.5167  0.8001  0.9510
F  0.6996  0.5154  0.9548
F  0.6999  0.9833  0.4510
F  0.8001  0.5167  0.4510
F  0.8004  0.9846  0.9548
F  0.9833  0.6999  0.9510
F  0.9846  0.8004  0.4548